SrScMoO6: computed powder diffraction line list (Cu Kα), based on a DFT-relaxed cell (GGA+U, Alexandria).
Lines closer than 0.1° are merged.

Largest 10 diffraction maxima, in order of rising 2θ, 2θ from 5° to 70°:
16.65°, rel. 37, (0 0 1)
25.06°, rel. 85, (0 2 1)
25.24°, rel. 100, (1 1 -1)
25.59°, rel. 94, (1 1 1)
32.79°, rel. 50, (1 3 0)
33.63°, rel. 47, (2 0 0)
41.48°, rel. 28, (0 4 1)
47.49°, rel. 53, (1 3 -2)
47.90°, rel. 40, (1 3 2)
55.64°, rel. 24, (3 1 1)

```
data_SrScMoO6
_chemical_formula_sum 'Sr2 Sc2 Mo2 O12'
_cell_length_a 5.332
_cell_length_b 9.542
_cell_length_c 5.327
_cell_angle_alpha 90.00
_cell_angle_beta 90.91
_cell_angle_gamma 90.00
_space_group_name_H-M_alt 'C 1 2 1'
_space_group_IT_number 5
loop_
_space_group_symop_operation_xyz
'x,y,z'
'-x,y,-z'
'x+1/2,y+1/2,z'
'-x+1/2,y+1/2,-z'
loop_
_atom_site_label
_atom_site_type_symbol
_atom_site_fract_x
_atom_site_fract_y
_atom_site_fract_z
Sr1 Sr 0.000 0.000 0.000
Sc1 Sc 0.000 0.325 0.500
Mo1 Mo 0.000 0.646 0.500
O1 O 0.121 0.509 0.286
O2 O 0.147 0.814 0.310
O3 O 0.195 0.176 0.303
```